(1)
Structure and theoretical X-ray diffraction stick pattern of DyAlSe3 (a crystal structure in Alexandria, relaxed with PBE; λ = 1.5418 Å (Cu Kα)).
Lines closer than 0.1° are merged.

Peak list (6 most intense, 10° ≤ 2θ ≤ 90°, sorted by position)
| index | two_theta | d (Å) | Rel. int. |
| --- | --- | --- | --- |
| 0 3 1 | 17.46 | 5.080 | 80 |
| 1 1 1 | 26.15 | 3.408 | 64 |
| 1 3 1 | 28.29 | 3.155 | 100 |
| 0 6 2 | 35.34 | 2.540 | 53 |
| 1 4 2 | 38.26 | 2.352 | 72 |
| 1 10 0 | 44.55 | 2.034 | 58 |

Structural model:
Unit cell a=4.025 b=23.572 c=6.660 alpha=90.00 beta=90.00 gamma=90.00
Space group Ama2 (No. 40)
Inequivalent atoms, fractional coordinates:
Dy: 0.250 0.174 0.000
Al: 0.250 0.373 0.929
Se: 0.250 0.082 0.288
Se: 0.250 0.279 0.768
Se: 0.250 0.381 0.284

***

(2)
Structure and theoretical X-ray diffraction stick pattern of Tm3CoBr3 (a crystal structure in Alexandria, relaxed with PBE; λ = 1.5418 Å (Cu Kα)).
Lines closer than 0.1° are merged.

Peak list (6 most intense, 10° ≤ 2θ ≤ 90°, sorted by position)
| index | two_theta | d (Å) | Rel. int. |
| --- | --- | --- | --- |
| 1 0 0 | 10.53 | 8.402 | 87 |
| 0 0 4 | 30.85 | 2.899 | 54 |
| 2 1 0 | 31.10 | 2.876 | 100 |
| 2 1 1 | 32.27 | 2.774 | 27 |
| 2 1 -4 | 43.73 | 2.070 | 41 |
| 0 2 0 | 46.00 | 1.973 | 31 |

Structural model:
Unit cell a=8.409 b=3.946 c=11.604 alpha=90.00 beta=92.27 gamma=90.00
Space group P2_1/m (No. 11)
Inequivalent atoms, fractional coordinates:
Tm: 0.097 0.250 0.320
Tm: 0.143 0.250 0.867
Tm: 0.261 0.750 0.100
Co: 0.051 0.250 0.093
Br: 0.135 0.250 0.603
Br: 0.341 0.750 0.358
Br: 0.429 0.750 0.869

***

(3)
Structure and theoretical X-ray diffraction stick pattern of Hf2SnPd6 (a crystal structure in Alexandria, relaxed with PBE; λ = 1.5418 Å (Cu Kα)).
Lines closer than 0.1° are merged.

Peak list (6 most intense, 10° ≤ 2θ ≤ 90°, sorted by position)
| index | two_theta | d (Å) | Rel. int. |
| --- | --- | --- | --- |
| 1 1 1 | 31.43 | 2.847 | 63 |
| 0 6 0 | 38.52 | 2.337 | 45 |
| 2 2 1 | 39.80 | 2.265 | 100 |
| 3 3 0 | 41.84 | 2.159 | 87 |
| 1 5 1 | 44.91 | 2.018 | 54 |
| 3 3 2 | 74.25 | 1.277 | 37 |

Structural model:
Unit cell a=7.304 b=14.023 c=3.169 alpha=90.00 beta=90.00 gamma=90.00
Space group Cmmm (No. 65)
Inequivalent atoms, fractional coordinates:
Hf: 0.000 0.198 0.000
Sn: 0.000 0.500 0.500
Pd: 0.184 0.000 0.000
Pd: 0.198 0.340 0.500